[1]
PaAl2NiO8: calculated powder X-ray diffraction pattern (Cu Ka), based on a crystal structure in Alexandria, relaxed with GGA+U.
Kinematic intensities with the Lorentz-polarization factor, no thermal factor.

Atomic structure:
a b c (Å): 5.6837 5.6837 5.7240
angles (deg): 90.00 90.00 120.00
Space group P-3 (No. 147)
Unique sites:
Pa (0.0000, 0.0000, 0.0000) x1
Al (0.3333, 0.6667, 0.3545) x2
Ni (0.0000, 0.0000, 0.5000) x1
O (0.1598, 0.8354, 0.2620) x6
O (0.3333, 0.6667, 0.6761) x2

Principal peaks in the range 10 to 90 degrees two-theta, most intense first:
| h k l | 2theta | Rel. int. |
| --- | --- | --- |
| 1 0 0 | 18.02 | 100 |
| 0 1 1 | 23.84 | 51 |
| 1 1 0 | 31.48 | 44 |
| 1 0 2 | 36.31 | 42 |
| 0 2 2 | 48.80 | 27 |
| 2 -1 2 | 44.95 | 23 |
| 3 -1 2 | 59.24 | 22 |
| 0 2 1 | 39.87 | 16 |
| 2 1 0 | 48.96 | 15 |
| 1 2 1 | 51.66 | 14 |



[2]
Pm2AlNiO6: calculated powder X-ray diffraction pattern (Cu Ka), based on a crystal structure in Alexandria, relaxed with GGA+U.
Kinematic intensities with the Lorentz-polarization factor, no thermal factor.

Atomic structure:
a b c (Å): 5.3576 5.4366 9.3825
angles (deg): 90.00 124.51 90.00
Space group P2_1/c (No. 14)
Unique sites:
Pm (0.2395, 0.0454, 0.2495) x4
Al (0.5000, 0.0000, 0.0000) x2
Ni (0.0000, 0.0000, 0.5000) x2
O (0.1733, 0.2073, 0.9579) x4
O (0.2471, 0.7155, 0.9553) x4
O (0.3395, 0.0188, 0.7594) x4

Principal peaks in the range 10 to 90 degrees two-theta, most intense first:
| h k l | 2theta | Rel. int. |
| --- | --- | --- |
| 1 1 1 | 32.93 | 100 |
| 1 1 -3 | 33.05 | 69 |
| 1 1 -1 | 23.31 | 37 |
| 2 2 -2 | 47.66 | 34 |
| 2 0 -2 | 33.45 | 34 |
| 0 0 2 | 23.01 | 23 |
| 0 0 4 | 47.01 | 22 |
| 0 2 2 | 40.57 | 19 |
| 2 0 2 | 58.79 | 16 |
| 3 1 -1 | 59.37 | 16 |



[3]
Al4Si2Ni13Sb2O28: calculated powder X-ray diffraction pattern (Cu Ka), based on a crystal structure in Alexandria, relaxed with GGA+U.
Kinematic intensities with the Lorentz-polarization factor, no thermal factor.

Atomic structure:
a b c (Å): 5.4305 22.6588 8.7696
angles (deg): 90.00 100.63 90.00
Space group C2/m (No. 12)
Unique sites:
Al (0.2235, 0.2147, 0.1721) x8
Si (0.2350, 0.5000, 0.1889) x4
Ni (0.0000, 0.0721, 0.5000) x4
Ni (0.0000, 0.2129, 0.5000) x4
Ni (0.0000, 0.5000, 0.5000) x2
Ni (0.2159, 0.3559, 0.1408) x8
Ni (0.2226, 0.0694, 0.1457) x8
Sb (0.0000, 0.3597, 0.5000) x4
O (0.0676, 0.5000, 0.8545) x4
O (0.1054, 0.2227, 0.8655) x8
O (0.1546, 0.0601, 0.8849) x8
O (0.1671, 0.3509, 0.8998) x8
O (0.1885, 0.0000, 0.6207) x4
O (0.1965, 0.2901, 0.6175) x8
O (0.1999, 0.4253, 0.6192) x8
O (0.2201, 0.1436, 0.6224) x8

Principal peaks in the range 10 to 90 degrees two-theta, most intense first:
| h k l | 2theta | Rel. int. |
| --- | --- | --- |
| 0 0 3 | 31.13 | 100 |
| 1 7 1 | 34.99 | 92 |
| 1 7 0 | 32.35 | 74 |
| 1 7 -2 | 36.88 | 56 |
| 3 7 -1 | 58.42 | 54 |
| 2 0 -1 | 33.26 | 44 |
| 1 7 3 | 47.76 | 44 |
| 2 0 -2 | 36.17 | 37 |
| 1 7 -5 | 60.50 | 34 |
| 0 14 0 | 56.89 | 29 |



[4]
Ti3Al2NiO: calculated powder X-ray diffraction pattern (Cu Ka), based on a crystal structure in Alexandria, relaxed with GGA+U.
Kinematic intensities with the Lorentz-polarization factor, no thermal factor.

Atomic structure:
a b c (Å): 11.3770 11.3770 11.3770
angles (deg): 90.00 90.00 90.00
Space group Fd-3m (No. 227, origin choice 2)
Unique sites:
Ti (0.0591, 0.3750, 0.3750) x48
Al (0.0421, 0.0421, 0.7079) x32
Ni (0.0000, 0.0000, 0.5000) x16
O (0.0000, 0.0000, 0.0000) x16

Principal peaks in the range 10 to 90 degrees two-theta, most intense first:
| h k l | 2theta | Rel. int. |
| --- | --- | --- |
| 5 1 1 | 41.23 | 100 |
| 4 4 0 | 45.08 | 42 |
| 4 2 2 | 38.78 | 42 |
| 6 6 0 | 70.20 | 33 |
| 3 3 1 | 34.36 | 32 |
| 6 2 2 | 53.42 | 18 |
| 9 3 3 | 84.79 | 18 |
| 2 2 2 | 27.15 | 15 |
| 5 5 5 | 71.86 | 10 |
| 10 2 2 | 89.53 | 9 |